(1)
Diffraction record for Nd5Dy4Tm3. The powder X-ray diffraction pattern is calculated, not measured: it uses a crystal structure in Alexandria, relaxed with GGA-PBE and copper Kα.
Lines closer than 0.1° are merged.

The 12 most intense peaks (15 to 90 degrees two-theta), by angle:
| two_theta | I (rel.) |
| --- | --- |
| 29.37 | 97 |
| 29.55 | 100 |
| 31.68 | 13 |
| 32.80 | 60 |
| 34.67 | 41 |
| 34.93 | 40 |
| 48.47 | 32 |
| 48.67 | 32 |
| 50.27 | 13 |
| 56.45 | 17 |
| 56.56 | 16 |
| 61.33 | 13 |

Cell and atoms:
```
12
Lattice="5.7321 -2.7303 0.0000 5.7321 2.7303 0.0000 -3.4475 0.0000 12.7550" Properties=species:S:1:pos:R:3 pbc="T T T"
Nd 0.0000 0.0000 0.0000
Nd -0.0128 0.0000 5.9243
Nd 1.2387 0.0000 9.3974
Nd 6.7781 0.0000 3.3576
Nd 8.0296 0.0000 6.8307
Dy 2.7214 0.0000 1.3260
Dy 3.4313 0.0000 4.7218
Dy 4.5856 0.0000 8.0332
Dy 5.2955 0.0000 11.4289
Tm -2.1720 0.0000 9.9883
Tm 5.7321 0.0000 0.0000
Tm 10.1888 0.0000 2.7667
```

(2)
Diffraction record for Ce2Sc2GeSb2. The powder X-ray diffraction pattern is calculated, not measured: it uses a crystal structure in Alexandria, relaxed with GGA-PBE and copper Kα.
Lines closer than 0.1° are merged.

The 12 most intense peaks (15 to 90 degrees two-theta), by angle:
| two_theta | I (rel.) |
| --- | --- |
| 25.60 | 100 |
| 27.83 | 22 |
| 32.68 | 97 |
| 33.72 | 46 |
| 36.52 | 73 |
| 41.91 | 16 |
| 49.80 | 72 |
| 52.60 | 25 |
| 59.39 | 19 |
| 63.30 | 23 |
| 65.09 | 15 |
| 77.00 | 18 |

Cell and atoms:
```
7
Lattice="-2.4605 2.4605 8.2391 2.4605 -2.4605 8.2391 2.4605 2.4605 -8.2391" Properties=species:S:1:pos:R:3 pbc="T T T"
Ce 0.0000 0.0000 2.8711
Ce 0.0000 0.0000 13.6072
Sc 2.4605 0.0000 0.0000
Sc 0.0000 2.4605 0.0000
Ge 0.0000 0.0000 0.0000
Sb 0.0000 0.0000 6.1385
Sb 0.0000 0.0000 10.3398
```

(3)
Diffraction record for NbSi4Mo. The powder X-ray diffraction pattern is calculated, not measured: it uses a crystal structure in Alexandria, relaxed with GGA-PBE and copper Kα.
Lines closer than 0.1° are merged.

The 12 most intense peaks (15 to 90 degrees two-theta), by angle:
| two_theta | I (rel.) |
| --- | --- |
| 21.66 | 14 |
| 25.60 | 100 |
| 25.68 | 50 |
| 35.03 | 67 |
| 40.42 | 73 |
| 40.53 | 72 |
| 40.65 | 71 |
| 41.26 | 77 |
| 47.32 | 90 |
| 47.47 | 46 |
| 69.70 | 28 |
| 84.34 | 17 |

Cell and atoms:
```
18
Lattice="4.7172 0.0000 0.0000 0.0000 13.1275 0.0000 -2.3449 0.0000 4.1106" Properties=species:S:1:pos:R:3 pbc="T T T"
Nb 0.0000 0.0000 0.0000
Nb 0.0000 6.5454 0.0000
Nb 2.3586 8.7412 0.0000
Si 0.0363 2.1893 1.4022
Si 0.0445 8.7557 1.4037
Si 0.0467 6.5390 2.6996
Si 1.1743 10.9306 0.7367
Si 0.0454 13.1194 2.7273
Si 1.1996 4.3553 0.7244
Si 1.1728 4.3553 3.3862
Si 2.3270 13.1194 1.3833
Si 1.1980 10.9306 3.3740
Si 2.3256 6.5390 1.4111
Si 2.3278 8.7557 2.7070
Si 2.3361 2.1893 2.7084
Mo -1.1724 4.3524 2.0553
Mo -1.1724 10.9350 2.0553
Mo 2.3586 2.1885 0.0000
```

(4)
Diffraction record for BaIn2P4O14. The powder X-ray diffraction pattern is calculated, not measured: it uses a crystal structure in Alexandria, relaxed with GGA-PBE and copper Kα.
Lines closer than 0.1° are merged.

The 12 most intense peaks (15 to 90 degrees two-theta), by angle:
| two_theta | I (rel.) |
| --- | --- |
| 19.80 | 41 |
| 23.15 | 100 |
| 23.28 | 57 |
| 24.46 | 54 |
| 25.69 | 36 |
| 26.87 | 54 |
| 27.83 | 57 |
| 28.35 | 64 |
| 32.98 | 63 |
| 33.32 | 47 |
| 37.92 | 39 |
| 42.47 | 39 |

Cell and atoms:
```
42
Lattice="5.5361 -5.4309 0.0000 5.5361 5.4309 0.0000 -2.3932 0.0000 9.8028" Properties=species:S:1:pos:R:3 pbc="T T T"
Ba 2.7681 2.7155 0.0000
Ba 1.5715 -2.7155 4.9014
In 0.0000 0.0000 0.0000
In -1.1966 0.0000 4.9014
In 3.7412 0.5499 7.3521
In 4.9378 -0.5499 2.4507
P 1.7702 0.4730 2.9309
P 3.8429 2.0621 4.3293
P 0.5736 -0.4730 7.8323
P 6.0328 2.0621 0.5722
P 2.6463 -2.0621 9.2307
P 8.1055 0.4730 1.9705
P 4.8362 -2.0621 5.4736
P 6.9089 -0.4730 6.8719
O 1.1433 0.9277 1.6073
O 2.5928 1.8291 3.3272
O 0.7819 0.1088 4.0283
O 4.3369 3.4822 4.0201
O -0.4146 -0.1088 8.9298
O 5.5388 3.4822 0.8813
O -0.0533 -0.9277 6.5087
O 1.5982 0.6638 7.7194
O 3.3670 1.9156 5.7625
O 4.8948 1.0946 0.9680
O 2.7947 -0.6638 2.8180
O 4.1155 1.9156 8.9418
O 4.9809 1.0946 3.9334
O 1.3962 -1.8291 8.2286
O 7.2829 1.8291 1.5742
O 3.6982 -1.0946 5.8694
O 4.5635 -1.9156 0.8611
O 5.8843 0.6638 6.9849
O 3.7843 -1.0946 8.8349
O 5.3121 -1.9156 4.0404
O 7.0809 -0.6638 2.0834
O 8.7323 0.9277 3.2941
O 3.1403 -3.4822 8.9215
O 9.0937 0.1088 0.8731
O 4.3422 -3.4822 5.7828
O 7.8971 -0.1088 5.7745
O 6.0863 -1.8291 6.4757
O 7.5357 -0.9277 8.1956
```

(5)
Diffraction record for GeAuBr4. The powder X-ray diffraction pattern is calculated, not measured: it uses a crystal structure in Alexandria, relaxed with GGA-PBE and copper Kα.
Lines closer than 0.1° are merged.

The 12 most intense peaks (15 to 90 degrees two-theta), by angle:
| two_theta | I (rel.) |
| --- | --- |
| 19.38 | 56 |
| 20.31 | 12 |
| 24.24 | 21 |
| 29.87 | 100 |
| 33.59 | 41 |
| 40.40 | 16 |
| 41.26 | 14 |
| 41.41 | 14 |
| 45.01 | 19 |
| 45.41 | 32 |
| 45.70 | 34 |
| 53.52 | 14 |

Cell and atoms:
```
12
Lattice="4.0289 -8.9297 0.0000 4.0289 8.9297 0.0000 -3.9849 0.0000 5.3359" Properties=species:S:1:pos:R:3 pbc="T T T"
Ge 1.0402 5.9235 4.0019
Ge 3.0327 -5.9235 1.3340
Au 3.0327 3.1165 1.3340
Au 1.0402 -3.1165 4.0019
Br -1.0814 3.4474 4.0108
Br 0.9012 1.3618 1.4178
Br -1.0913 -1.3618 4.0857
Br 0.9111 -3.4474 1.3429
Br 3.1618 3.4474 3.9930
Br 5.1641 1.3618 1.2502
Br 3.1717 -1.3618 3.9181
Br 5.1542 -3.4474 1.3250
```

(6)
Diffraction record for Cs2CrBiI6. The powder X-ray diffraction pattern is calculated, not measured: it uses a crystal structure in Alexandria, relaxed with GGA-PBE and copper Kα.
Lines closer than 0.1° are merged.

The 12 most intense peaks (15 to 90 degrees two-theta), by angle:
| two_theta | I (rel.) |
| --- | --- |
| 20.71 | 30 |
| 24.34 | 15 |
| 25.43 | 92 |
| 29.38 | 46 |
| 29.49 | 90 |
| 33.02 | 15 |
| 42.14 | 100 |
| 49.91 | 27 |
| 52.24 | 35 |
| 69.15 | 15 |
| 69.34 | 29 |
| 77.07 | 21 |

Cell and atoms:
```
10
Lattice="-4.2841 4.2841 6.0793 4.2841 -4.2841 6.0793 4.2841 4.2841 -6.0793" Properties=species:S:1:pos:R:3 pbc="T T T"
Cs 4.2841 0.0000 3.0396
Cs 0.0000 4.2841 3.0396
Cr 0.0000 0.0000 0.0000
Bi 0.0000 0.0000 6.0793
I 0.0000 0.0000 2.9234
I 2.0529 2.0529 0.0000
I 2.2311 -2.2311 6.0793
I -2.2311 2.2311 6.0793
I 0.0000 0.0000 9.2352
I 2.2311 2.2311 6.0793
```

(7)
Diffraction record for UMnRu. The powder X-ray diffraction pattern is calculated, not measured: it uses a crystal structure in Alexandria, relaxed with GGA-PBE and copper Kα.
Lines closer than 0.1° are merged.

The 12 most intense peaks (15 to 90 degrees two-theta), by angle:
| two_theta | I (rel.) |
| --- | --- |
| 23.29 | 13 |
| 27.17 | 76 |
| 34.91 | 100 |
| 42.39 | 12 |
| 43.39 | 97 |
| 50.19 | 36 |
| 58.00 | 20 |
| 60.38 | 17 |
| 68.47 | 50 |
| 73.72 | 11 |
| 84.23 | 17 |
| 89.59 | 13 |

Cell and atoms:
```
3
Lattice="-1.8176 1.8176 3.8195 1.8176 -1.8176 3.8195 1.8176 1.8176 -3.8195" Properties=species:S:1:pos:R:3 pbc="T T T"
U 0.0000 0.0000 0.0000
Mn 0.0000 0.0000 2.1915
Ru 0.0000 0.0000 5.1967
```

(8)
Diffraction record for Mg7Al2Ga2. The powder X-ray diffraction pattern is calculated, not measured: it uses a crystal structure in Alexandria, relaxed with GGA-PBE and copper Kα.
Lines closer than 0.1° are merged.

The 12 most intense peaks (15 to 90 degrees two-theta), by angle:
| two_theta | I (rel.) |
| --- | --- |
| 18.16 | 57 |
| 20.92 | 52 |
| 23.57 | 52 |
| 32.15 | 43 |
| 34.33 | 81 |
| 36.80 | 92 |
| 37.87 | 77 |
| 38.07 | 55 |
| 38.95 | 100 |
| 39.10 | 37 |
| 39.64 | 48 |
| 40.70 | 65 |

Cell and atoms:
```
11
Lattice="5.7576 0.0000 0.0000 -2.2096 5.8508 0.0000 -1.5050 -0.8097 6.9121" Properties=species:S:1:pos:R:3 pbc="T T T"
Mg 0.0000 0.0000 0.0000
Mg -1.2945 3.5324 2.4806
Mg -0.8558 5.1341 5.1446
Mg 0.4747 2.3452 5.1460
Mg 1.5683 2.6959 1.7661
Mg 2.8989 -0.0930 1.7675
Mg 3.3375 1.5087 4.4315
Al -0.0354 0.5649 2.8618
Al 2.0784 4.4762 4.0503
Ga -1.6912 3.0371 6.7751
Ga 3.7343 2.0040 0.1370
```

Question: What is the formula in the third record?
Answer: NbSi4Mo

Repeat the first record exactly.
Diffraction record for Nd5Dy4Tm3. The powder X-ray diffraction pattern is calculated, not measured: it uses a crystal structure in Alexandria, relaxed with GGA-PBE and copper Kα.
Lines closer than 0.1° are merged.

The 12 most intense peaks (15 to 90 degrees two-theta), by angle:
| two_theta | I (rel.) |
| --- | --- |
| 29.37 | 97 |
| 29.55 | 100 |
| 31.68 | 13 |
| 32.80 | 60 |
| 34.67 | 41 |
| 34.93 | 40 |
| 48.47 | 32 |
| 48.67 | 32 |
| 50.27 | 13 |
| 56.45 | 17 |
| 56.56 | 16 |
| 61.33 | 13 |

Cell and atoms:
```
12
Lattice="5.7321 -2.7303 0.0000 5.7321 2.7303 0.0000 -3.4475 0.0000 12.7550" Properties=species:S:1:pos:R:3 pbc="T T T"
Nd 0.0000 0.0000 0.0000
Nd -0.0128 0.0000 5.9243
Nd 1.2387 0.0000 9.3974
Nd 6.7781 0.0000 3.3576
Nd 8.0296 0.0000 6.8307
Dy 2.7214 0.0000 1.3260
Dy 3.4313 0.0000 4.7218
Dy 4.5856 0.0000 8.0332
Dy 5.2955 0.0000 11.4289
Tm -2.1720 0.0000 9.9883
Tm 5.7321 0.0000 0.0000
Tm 10.1888 0.0000 2.7667
```